Entry 1:
For LiP4Br12O4, DFT lattice parameters and positions (GGA-PBE) gives the theoretical X-ray diffraction stick pattern in this record (copper Kα).

Peak list (6 most intense, 15 to 90 degrees two-theta, in order of rising 2θ)
- 2θ 15.33, d = 5.780 Å, I 38.9
- 2θ 19.66, d = 4.516 Å, I 69.9
- 2θ 21.56, d = 4.122 Å, I 46.7
- 2θ 23.02, d = 3.863 Å, I 98.8
- 2θ 27.27, d = 3.270 Å, I 100.0
- 2θ 28.47, d = 3.135 Å, I 44.5

Crystal structure
```
data_LiP4Br12O4
_chemical_formula_sum 'Li1 P4 Br12 O4'
_symmetry_space_group_name_H-M 'P 1'
_symmetry_Int_Tables_number 1
_cell_length_a 6.7671
_cell_length_b 9.8901
_cell_length_c 11.2177
_cell_angle_alpha 90.20
_cell_angle_beta 90.04
_cell_angle_gamma 93.99
loop_
_symmetry_equiv_pos_as_xyz
'x,y,z'
loop_
_atom_site_label
_atom_site_fract_x
_atom_site_fract_y
_atom_site_fract_z
_atom_site_occupancy
Li1 0.0000 0.0000 0.0000 1
P1 0.1247 0.6752 0.9982 1
P2 0.4230 0.1753 0.9916 1
P3 0.6113 0.7999 0.4832 1
P4 0.9037 0.2979 0.4838 1
Br1 0.1290 0.4688 0.4834 1
Br2 0.1877 0.1583 0.1589 1
Br3 0.1903 0.1490 0.8326 1
Br4 0.2860 0.6503 0.8315 1
Br5 0.3227 0.6220 0.1420 1
Br6 0.4254 0.9715 0.4645 1
Br7 0.6306 0.9783 0.9567 1
Br8 0.7115 0.3329 0.3296 1
Br9 0.7165 0.3325 0.6402 1
Br10 0.7947 0.8459 0.6420 1
Br11 0.8212 0.8175 0.3331 1
Br12 0.8817 0.5184 0.9964 1
O1 0.0579 0.8143 0.0128 1
O2 0.4973 0.6671 0.4889 1
O3 0.5400 0.3078 0.9883 1
O4 0.9864 0.1638 0.4826 1
```

=====

Entry 2:
For LiP4Br12O4, DFT lattice parameters and positions (GGA-PBE) gives the theoretical X-ray diffraction stick pattern in this record (copper Kα).

Peak list (6 most intense, 15 to 90 degrees two-theta, in order of rising 2θ)
- 2θ 19.03, d = 4.664 Å, I 70.4
- 2θ 20.82, d = 4.267 Å, I 90.8
- 2θ 22.51, d = 3.951 Å, I 97.3
- 2θ 22.86, d = 3.890 Å, I 100.0
- 2θ 28.34, d = 3.149 Å, I 58.8
- 2θ 29.03, d = 3.076 Å, I 75.0

Crystal structure
```
data_LiP4Br12O4
_chemical_formula_sum 'Li1 P4 Br12 O4'
_symmetry_space_group_name_H-M 'P 1'
_symmetry_Int_Tables_number 1
_cell_length_a 6.6766
_cell_length_b 10.3266
_cell_length_c 10.5731
_cell_angle_alpha 91.19
_cell_angle_beta 91.52
_cell_angle_gamma 95.45
loop_
_symmetry_equiv_pos_as_xyz
'x,y,z'
loop_
_atom_site_label
_atom_site_fract_x
_atom_site_fract_y
_atom_site_fract_z
_atom_site_occupancy
Li1 0.0000 0.0000 0.0000 1
P1 0.0616 0.1975 0.2891 1
P2 0.2889 0.5742 0.7935 1
P3 0.5631 0.0792 0.7955 1
P4 0.7894 0.7057 0.2915 1
Br1 0.0589 0.4071 0.7868 1
Br2 0.2938 0.3616 0.2886 1
Br3 0.3676 0.0539 0.0041 1
Br4 0.3894 0.0433 0.6031 1
Br5 0.4766 0.5465 0.6284 1
Br6 0.4867 0.5416 0.9574 1
Br7 0.5920 0.8632 0.2840 1
Br8 0.8002 0.9148 0.8053 1
Br9 0.8637 0.2228 0.1192 1
Br10 0.8737 0.2345 0.4497 1
Br11 0.9865 0.7476 0.4588 1
Br12 0.9913 0.7380 0.1280 1
O1 0.1364 0.0673 0.2856 1
O2 0.2045 0.7012 0.7980 1
O3 0.6806 0.2090 0.8023 1
O4 0.6816 0.5738 0.2871 1
```